The following is a computed X-ray diffraction stick pattern of RbSn3Pb9. It was derived from a PBE-relaxed structure, using Cu Kα (weighted mean of Kα1 and Kα2).
Lines closer than 0.1° are merged.

Top 10 peaks for 10° ≤ 2θ ≤ 90°, in order of rising 2θ:
Position (°2θ)  d [Å]  I_rel  h k l
26.94  3.309  46  1 3 1
30.97  2.888  67  0 4 2
31.11  2.875  60  1 1 -3
31.20  2.867  62  1 5 -1
31.70  2.823  61  2 2 -2
34.84  2.575  63  0 6 1
34.93  2.569  39  1 5 -2
35.39  2.536  100  2 0 1
51.04  1.789  31  3 5 -1
55.55  1.654  34  2 6 -4

```
data_RbSn3Pb9
_chemical_formula_sum 'Rb2 Sn6 Pb18'
_space_group_name_H-M_alt 'C 1 2/m 1'
_space_group_IT_number 12
_cell_length_a 6.472
_cell_length_b 16.301
_cell_length_c 8.797
_cell_angle_alpha 90.00
_cell_angle_beta 111.53
_cell_angle_gamma 90.00
loop_
_space_group_symop_operation_xyz
'x,y,z'
'-x,-y,-z'
'-x,y,-z'
'x,-y,z'
'x+1/2,y+1/2,z'
'-x+1/2,-y+1/2,-z'
'-x+1/2,y+1/2,-z'
'x+1/2,-y+1/2,z'
loop_
_atom_site_label
_atom_site_type_symbol
_atom_site_fract_x
_atom_site_fract_y
_atom_site_fract_z
_atom_site_occupancy
Rb1 Rb 0.000 0.000 0.000 1
Sn1 Sn 0.000 0.000 0.500 1
Sn2 Sn 0.250 0.250 0.000 1
Pb1 Pb 0.000 0.500 0.500 1
Pb2 Pb 0.114 0.390 0.217 1
Pb3 Pb 0.174 0.178 0.351 1
```